For Ho5Bi3, DFT lattice parameters and positions (GGA-PBE) gives the theoretical powder XRD pattern in this record (a wavelength of 1.5418 Å).
Neutral-atom scattering factors, no anomalous dispersion.

Cell and atoms:
abc: 12.0341 9.4471 8.2975
angles: 90.00 90.00 90.00
Fractional coordinates of all 32 atoms:
1 Ho 0.0053 0.2500 0.0252
2 Ho 0.0662 0.0615 0.6936
3 Ho 0.0662 0.4385 0.6936
4 Ho 0.2093 0.7500 0.3442
5 Ho 0.2309 0.2500 0.3255
6 Ho 0.2691 0.7500 0.8255
7 Ho 0.2907 0.2500 0.8442
8 Ho 0.4338 0.5615 0.1936
9 Ho 0.4338 0.9385 0.1936
10 Ho 0.4947 0.7500 0.5252
11 Ho 0.5053 0.2500 0.4748
12 Ho 0.5662 0.0615 0.8064
13 Ho 0.5662 0.4385 0.8064
14 Ho 0.7093 0.7500 0.1558
15 Ho 0.7309 0.2500 0.1745
16 Ho 0.7691 0.7500 0.6745
17 Ho 0.7907 0.2500 0.6558
18 Ho 0.9338 0.5615 0.3064
19 Ho 0.9338 0.9385 0.3064
20 Ho 0.9947 0.7500 0.9748
21 Bi 0.0235 0.7500 0.5964
22 Bi 0.1748 0.5095 0.0663
23 Bi 0.1748 0.9905 0.0663
24 Bi 0.3252 0.0095 0.5663
25 Bi 0.3252 0.4905 0.5663
26 Bi 0.4765 0.2500 0.0964
27 Bi 0.5235 0.7500 0.9036
28 Bi 0.6748 0.5095 0.4337
29 Bi 0.6748 0.9905 0.4337
30 Bi 0.8252 0.0095 0.9337
31 Bi 0.8252 0.4905 0.9337
32 Bi 0.9765 0.2500 0.4036

Largest 10 diffraction maxima, sorted by position, 2θ = 10–80°:
- 29.6 deg, intensity 100, hkl 1 2 2
- 30.4 deg, intensity 27, hkl 0 3 1
- 31.0 deg, intensity 27, hkl 3 0 2
- 31.2 deg, intensity 58, hkl 3 2 1
- 31.6 deg, intensity 56, hkl 4 0 1
- 32.3 deg, intensity 90, hkl 2 2 2
- 33.2 deg, intensity 33, hkl 1 0 3
- 35.4 deg, intensity 43, hkl 4 2 0
- 37.0 deg, intensity 23, hkl 2 1 3
- 38.1 deg, intensity 43, hkl 0 4 0

For Ho5Bi3, DFT lattice parameters and positions (GGA-PBE) gives the theoretical powder XRD pattern in this record (a wavelength of 1.5418 Å).
Neutral-atom scattering factors, no anomalous dispersion.

Cell and atoms:
abc: 8.2292 9.5116 11.9967
angles: 90.00 90.00 90.00
Fractional coordinates of all 32 atoms:
1 Ho 0.0229 0.2500 0.0109
2 Ho 0.1462 0.7500 0.2839
3 Ho 0.1852 0.2500 0.2819
4 Ho 0.1921 0.0642 0.5590
5 Ho 0.1921 0.4358 0.5590
6 Ho 0.3079 0.5642 0.0590
7 Ho 0.3079 0.9358 0.0590
8 Ho 0.3148 0.7500 0.7819
9 Ho 0.3538 0.2500 0.7839
10 Ho 0.4771 0.7500 0.5109
11 Ho 0.5229 0.2500 0.4891
12 Ho 0.6462 0.7500 0.2161
13 Ho 0.6852 0.2500 0.2181
14 Ho 0.6921 0.0642 0.9410
15 Ho 0.6921 0.4358 0.9410
16 Ho 0.8079 0.5642 0.4410
17 Ho 0.8079 0.9358 0.4410
18 Ho 0.8148 0.7500 0.7181
19 Ho 0.8538 0.2500 0.7161
20 Ho 0.9771 0.7500 0.9891
21 Bi 0.0658 0.0037 0.8257
22 Bi 0.0658 0.4963 0.8257
23 Bi 0.0946 0.7500 0.5425
24 Bi 0.4054 0.2500 0.0425
25 Bi 0.4342 0.5037 0.3257
26 Bi 0.4342 0.9963 0.3257
27 Bi 0.5658 0.0037 0.6743
28 Bi 0.5658 0.4963 0.6743
29 Bi 0.5946 0.7500 0.9575
30 Bi 0.9054 0.2500 0.4575
31 Bi 0.9342 0.5037 0.1743
32 Bi 0.9342 0.9963 0.1743

Largest 10 diffraction maxima, sorted by position, 2θ = 10–80°:
- 29.7 deg, intensity 59, hkl 2 2 1
- 31.2 deg, intensity 100, hkl 1 2 3
- 31.8 deg, intensity 49, hkl 1 0 4
- 32.4 deg, intensity 66, hkl 2 2 2
- 33.5 deg, intensity 24, hkl 3 0 1
- 34.9 deg, intensity 16, hkl 3 1 1
- 35.4 deg, intensity 22, hkl 0 2 4
- 37.8 deg, intensity 37, hkl 0 4 0
- 40.8 deg, intensity 23, hkl 3 2 2
- 60.0 deg, intensity 23, hkl 4 4 1

For Ho3Bi, DFT lattice parameters and positions (GGA-PBE) gives the theoretical powder XRD pattern in this record (a wavelength of 1.5418 Å).
Neutral-atom scattering factors, no anomalous dispersion.

Cell and atoms:
abc: 4.8505 4.8505 4.8505
angles: 90.00 90.00 90.00
Fractional coordinates of all 4 atoms:
1 Ho 0.0000 0.0000 0.5000
2 Ho 0.0000 0.5000 0.0000
3 Ho 0.5000 0.0000 0.0000
4 Bi 0.5000 0.5000 0.5000

Largest 9 diffraction maxima, sorted by position, 2θ = 10–80°:
- 18.3 deg, intensity 1, hkl 1 0 0
- 26.0 deg, intensity 1, hkl 1 1 0
- 32.0 deg, intensity 100, hkl 1 1 1
- 37.1 deg, intensity 51, hkl 2 0 0
- 41.6 deg, intensity 1, hkl 2 1 0
- 53.4 deg, intensity 36, hkl 2 2 0
- 63.6 deg, intensity 42, hkl 3 1 1
- 66.8 deg, intensity 12, hkl 2 2 2
- 79.0 deg, intensity 6, hkl 4 0 0

For HoBi3, DFT lattice parameters and positions (GGA-PBE) gives the theoretical powder XRD pattern in this record (a wavelength of 1.5418 Å).
Neutral-atom scattering factors, no anomalous dispersion.

Cell and atoms:
abc: 6.8323 6.8323 6.0199
angles: 90.00 90.00 120.00
Fractional coordinates of all 8 atoms:
1 Ho 0.3333 0.6667 0.2500
2 Ho 0.6667 0.3333 0.7500
3 Bi 0.1728 0.3455 0.7500
4 Bi 0.1728 0.8272 0.7500
5 Bi 0.3455 0.1728 0.2500
6 Bi 0.6545 0.8272 0.7500
7 Bi 0.8272 0.1728 0.2500
8 Bi 0.8272 0.6545 0.2500

Largest 10 diffraction maxima, sorted by position, 2θ = 10–80°:
- 29.7 deg, intensity 31, hkl 0 0 2
- 30.2 deg, intensity 22, hkl 2 0 0
- 33.8 deg, intensity 100, hkl 2 0 1
- 42.9 deg, intensity 18, hkl 2 0 2
- 53.7 deg, intensity 18, hkl 2 2 0
- 55.3 deg, intensity 25, hkl 2 0 3
- 61.6 deg, intensity 4, hkl 0 0 4
- 62.5 deg, intensity 23, hkl 2 2 2
- 64.9 deg, intensity 15, hkl 4 0 1
- 70.2 deg, intensity 4, hkl 2 0 4

For Ho2MgBi4O12, DFT lattice parameters and positions (GGA-PBE) gives the theoretical powder XRD pattern in this record (a wavelength of 1.5418 Å).
Neutral-atom scattering factors, no anomalous dispersion.

Cell and atoms:
abc: 5.6609 6.2791 8.6373
angles: 90.15 90.27 92.78
Fractional coordinates of all 19 atoms:
1 Ho 0.0000 0.0000 0.0000
2 Ho 0.4578 0.2748 0.5001
3 Mg 0.6845 0.6842 0.5021
4 Bi 0.0185 0.4303 0.7621
5 Bi 0.0191 0.4319 0.2364
6 Bi 0.5227 0.9061 0.7707
7 Bi 0.5265 0.9070 0.2314
8 O 0.1204 0.3463 0.0004
9 O 0.2633 0.1231 0.7023
10 O 0.2636 0.1228 0.2963
11 O 0.3634 0.8667 0.0001
12 O 0.4184 0.6059 0.6650
13 O 0.4222 0.6060 0.3338
14 O 0.6359 0.9798 0.4977
15 O 0.7549 0.1693 0.8293
16 O 0.7547 0.1700 0.1689
17 O 0.8322 0.4185 0.5019
18 O 0.8546 0.7533 0.8149
19 O 0.8547 0.7538 0.1801

Largest 10 diffraction maxima, sorted by position, 2θ = 10–80°:
- 17.5 deg, intensity 25, hkl 0 1 1
- 18.8 deg, intensity 34, hkl 1 0 1
- 20.6 deg, intensity 58, hkl 1 -1 0
- 21.7 deg, intensity 46, hkl 1 1 0
- 28.5 deg, intensity 32, hkl 0 2 0
- 29.3 deg, intensity 100, hkl -1 1 2
- 30.0 deg, intensity 40, hkl 1 1 -2
- 30.1 deg, intensity 40, hkl 1 1 2
- 31.6 deg, intensity 40, hkl 2 0 0
- 47.1 deg, intensity 26, hkl 1 3 0

For HoMgBi2O6, DFT lattice parameters and positions (GGA-PBE) gives the theoretical powder XRD pattern in this record (a wavelength of 1.5418 Å).
Neutral-atom scattering factors, no anomalous dispersion.

Cell and atoms:
abc: 8.5363 5.9720 5.7151
angles: 90.00 90.00 90.00
Fractional coordinates of all 20 atoms:
1 Ho 0.0000 0.1820 0.0000
2 Ho 0.5000 0.8180 0.5000
3 Mg 0.0000 0.7520 0.4891
4 Mg 0.5000 0.2480 0.9891
5 Bi 0.2486 0.2624 0.4843
6 Bi 0.2514 0.7376 0.9843
7 Bi 0.7486 0.7376 0.9843
8 Bi 0.7514 0.2624 0.4843
9 O 0.0000 0.3476 0.6374
10 O 0.0000 0.8427 0.8234
11 O 0.1607 0.9344 0.2986
12 O 0.1775 0.4104 0.1365
13 O 0.3225 0.5896 0.6365
14 O 0.3393 0.0656 0.7986
15 O 0.5000 0.1573 0.3234
16 O 0.5000 0.6524 0.1374
17 O 0.6607 0.0656 0.7986
18 O 0.6775 0.5896 0.6365
19 O 0.8225 0.4104 0.1365
20 O 0.8393 0.9344 0.2986

Largest 10 diffraction maxima, sorted by position, 2θ = 10–80°:
- 21.5 deg, intensity 20, hkl 0 1 1
- 29.9 deg, intensity 21, hkl 0 2 0
- 30.1 deg, intensity 100, hkl 2 1 1
- 31.3 deg, intensity 22, hkl 0 0 2
- 42.4 deg, intensity 12, hkl 4 0 0
- 43.9 deg, intensity 18, hkl 0 2 2
- 53.2 deg, intensity 16, hkl 2 3 1
- 53.6 deg, intensity 12, hkl 4 0 2
- 55.0 deg, intensity 24, hkl 2 1 3
- 62.6 deg, intensity 12, hkl 4 2 2

For Ho2MgBi4O12, DFT lattice parameters and positions (GGA-PBE) gives the theoretical powder XRD pattern in this record (a wavelength of 1.5418 Å).
Neutral-atom scattering factors, no anomalous dispersion.

Cell and atoms:
abc: 5.6860 6.1101 8.3605
angles: 93.06 90.98 90.72
Fractional coordinates of all 19 atoms:
1 Ho 0.0000 0.0000 0.0000
2 Ho 0.4825 0.6800 0.5158
3 Mg 0.5093 0.6432 0.9622
4 Bi 0.0093 0.5570 0.7408
5 Bi 0.0197 0.5721 0.2488
6 Bi 0.5180 0.1153 0.7624
7 Bi 0.5202 0.1145 0.2711
8 O 0.1647 0.6446 0.0089
9 O 0.2379 0.8469 0.3293
10 O 0.2428 0.8722 0.7189
11 O 0.3336 0.4193 0.3455
12 O 0.3756 0.1233 0.0018
13 O 0.4152 0.4494 0.7321
14 O 0.6158 0.0330 0.5243
15 O 0.7289 0.8121 0.8239
16 O 0.7390 0.7655 0.1480
17 O 0.8399 0.2611 0.8503
18 O 0.8434 0.5685 0.4754
19 O 0.8852 0.2520 0.1864

Largest 10 diffraction maxima, sorted by position, 2θ = 10–80°:
- 21.2 deg, intensity 100, hkl 1 -1 0
- 21.5 deg, intensity 48, hkl 1 1 0
- 29.3 deg, intensity 71, hkl 0 2 0
- 29.7 deg, intensity 96, hkl 1 1 -2
- 29.9 deg, intensity 94, hkl 1 -1 2
- 30.6 deg, intensity 81, hkl -1 1 2
- 31.2 deg, intensity 72, hkl 1 1 2
- 31.5 deg, intensity 82, hkl 2 0 0
- 43.4 deg, intensity 40, hkl 0 0 4
- 55.1 deg, intensity 36, hkl 3 -1 2

For Ho6MnBi2, DFT lattice parameters and positions (GGA-PBE) gives the theoretical powder XRD pattern in this record (a wavelength of 1.5418 Å).
Neutral-atom scattering factors, no anomalous dispersion.

Cell and atoms:
abc: 8.2898 8.2898 4.2682
angles: 90.00 90.00 120.00
Fractional coordinates of all 9 atoms:
1 Ho 0.0000 0.2327 0.0000
2 Ho 0.0000 0.6075 0.5000
3 Ho 0.2327 0.0000 0.0000
4 Ho 0.3925 0.3925 0.5000
5 Ho 0.6075 0.0000 0.5000
6 Ho 0.7673 0.7673 0.0000
7 Mn 0.0000 0.0000 0.5000
8 Bi 0.3333 0.6667 0.0000
9 Bi 0.6667 0.3333 0.0000

Largest 10 diffraction maxima, sorted by position, 2θ = 10–80°:
- 30.1 deg, intensity 100, hkl 1 1 1
- 32.6 deg, intensity 55, hkl 2 0 1
- 33.0 deg, intensity 55, hkl 2 1 0
- 37.6 deg, intensity 31, hkl 3 0 0
- 39.3 deg, intensity 33, hkl 2 1 1
- 42.4 deg, intensity 22, hkl 0 0 2
- 54.7 deg, intensity 27, hkl 2 1 2
- 57.9 deg, intensity 18, hkl 3 0 2
- 60.2 deg, intensity 22, hkl 3 2 1
- 63.2 deg, intensity 21, hkl 4 1 1